1.
This entry pairs a crystal structure of LiVP4O12 with its calculated XRD peak list. Radiation: a wavelength of 1.5418 Å. Structure: DFT lattice parameters and positions (GGA+U).
Intensities are scaled so that the largest is 100.

Crystal structure
Cell: 8.591 8.591 7.820 Å, 97.87 97.87 113.34°
Fractional positions:
Li: 0.161 0.839 0.500
Li: 0.839 0.161 0.000
V: 0.527 0.782 0.971
V: 0.782 0.527 0.471
P: 0.078 0.420 0.382
P: 0.241 0.888 0.121
P: 0.420 0.078 0.882
P: 0.454 0.612 0.545
P: 0.612 0.454 0.045
P: 0.715 0.869 0.393
P: 0.869 0.715 0.893
P: 0.888 0.241 0.621
O: 0.025 0.570 0.421
O: 0.038 0.830 0.036
O: 0.066 0.330 0.552
O: 0.260 0.927 0.314
O: 0.283 0.505 0.395
O: 0.290 0.992 0.716
O: 0.299 0.757 0.033
O: 0.330 0.066 0.052
O: 0.404 0.665 0.714
O: 0.505 0.283 0.895
O: 0.510 0.561 0.047
O: 0.543 0.784 0.469
O: 0.561 0.510 0.547
O: 0.570 0.025 0.921
O: 0.665 0.404 0.214
O: 0.665 0.913 0.220
O: 0.756 0.813 0.895
O: 0.757 0.299 0.533
O: 0.784 0.543 0.969
O: 0.813 0.756 0.395
O: 0.830 0.038 0.536
O: 0.913 0.665 0.720
O: 0.927 0.260 0.814
O: 0.992 0.290 0.216

Main lines, in order of rising 2θ (2θ from 5° to 70°):
d/Å  2theta  I_rel
7.712  11.47  100
6.080  14.57  32
5.210  17.02  35
4.912  18.06  49
4.572  19.41  25
3.777  23.55  86
3.589  24.81  41
3.355  26.57  19
3.148  28.36  19
2.610  34.36  40

2.
This entry pairs a crystal structure of Li2VP4O13 with its calculated XRD peak list. Radiation: a wavelength of 1.5418 Å. Structure: DFT lattice parameters and positions (GGA+U).
Intensities are scaled so that the largest is 100.

Crystal structure
Cell: 5.082 7.942 13.745 Å, 80.32 82.53 81.25°
Fractional positions:
Li: 0.079 0.322 0.005
Li: 0.355 0.352 0.485
Li: 0.645 0.648 0.515
Li: 0.921 0.678 0.995
V: 0.438 0.054 0.258
V: 0.562 0.946 0.742
P: 0.007 0.899 0.150
P: 0.136 0.789 0.638
P: 0.297 0.667 0.299
P: 0.340 0.577 0.818
P: 0.660 0.423 0.182
P: 0.703 0.333 0.701
P: 0.864 0.211 0.362
P: 0.993 0.101 0.850
O: 0.034 0.744 0.246
O: 0.089 0.824 0.058
O: 0.141 0.638 0.735
O: 0.166 0.141 0.360
O: 0.171 0.038 0.170
O: 0.184 0.534 0.917
O: 0.239 0.526 0.381
O: 0.257 0.710 0.548
O: 0.291 0.930 0.659
O: 0.295 0.030 0.837
O: 0.419 0.816 0.326
O: 0.463 0.293 0.190
O: 0.499 0.399 0.791
O: 0.501 0.601 0.209
O: 0.537 0.707 0.810
O: 0.581 0.184 0.674
O: 0.705 0.970 0.163
O: 0.709 0.070 0.341
O: 0.743 0.290 0.452
O: 0.761 0.474 0.619
O: 0.816 0.466 0.083
O: 0.829 0.962 0.830
O: 0.834 0.859 0.640
O: 0.859 0.362 0.265
O: 0.911 0.176 0.942
O: 0.966 0.256 0.754

Main lines, in order of rising 2θ (2θ from 5° to 70°):
d/Å  2theta  I_rel
6.736  13.14  100
4.743  18.71  11
4.480  19.82  15
4.234  20.98  14
3.406  26.17  21
3.282  27.17  11
3.213  27.77  21
3.161  28.23  12
2.963  30.17  12
2.942  30.38  8